Diffraction record for DyPd2Pb2. The powder diffraction line list is simulated, not measured: it uses the PBE geometry in Alexandria and copper Kα.
No peak broadening, texture or thermal motion is included.

Structure:
```
data_DyPd2Pb2
_chemical_formula_sum 'Dy2 Pd4 Pb4'
_cell_length_a 4.8108
_cell_length_b 4.9077
_cell_length_c 10.0318
_cell_angle_alpha 90.00
_cell_angle_beta 90.00
_cell_angle_gamma 90.00
_symmetry_space_group_name_H-M 'P 1'
_symmetry_Int_Tables_number 1
loop_
_symmetry_equiv_pos_as_xyz
'x,y,z'
loop_
_atom_site_label
_atom_site_fract_x
_atom_site_fract_y
_atom_site_fract_z
_atom_site_occupancy
Dy1 0.2500 0.2500 0.1739 1
Dy2 0.7500 0.7500 0.8261 1
Pd1 0.2500 0.7500 0.3283 1
Pd2 0.2500 0.7500 0.9927 1
Pd3 0.7500 0.2500 0.0073 1
Pd4 0.7500 0.2500 0.6717 1
Pb1 0.2500 0.2500 0.5067 1
Pb2 0.2500 0.2500 0.8347 1
Pb3 0.7500 0.7500 0.1653 1
Pb4 0.7500 0.7500 0.4933 1
```

Top 10 peaks for 2θ from 5° to 70°, in order of rising 2θ:
- d = 3.435 Å, rel. 25.8
- d = 3.344 Å, rel. 12.0
- d = 2.454 Å, rel. 27.1
- d = 2.405 Å, rel. 25.6
- d = 2.396 Å, rel. 100.0
- d = 1.718 Å, rel. 18.5
- d = 1.405 Å, rel. 18.9
- d = 1.387 Å, rel. 18.1
- d = 1.382 Å, rel. 8.6
- d = 1.373 Å, rel. 8.4

***

Diffraction record for Be2Sb. The powder diffraction line list is simulated, not measured: it uses the PBE geometry in Alexandria and copper Kα.
No peak broadening, texture or thermal motion is included.

Structure:
```
data_Be2Sb
_chemical_formula_sum 'Be8 Sb4'
_cell_length_a 3.3081
_cell_length_b 18.3954
_cell_length_c 3.2991
_cell_angle_alpha 90.00
_cell_angle_beta 90.00
_cell_angle_gamma 90.00
_symmetry_space_group_name_H-M 'P 1'
_symmetry_Int_Tables_number 1
loop_
_symmetry_equiv_pos_as_xyz
'x,y,z'
loop_
_atom_site_label
_atom_site_fract_x
_atom_site_fract_y
_atom_site_fract_z
_atom_site_occupancy
Be1 0.0000 0.0387 0.2500 1
Be2 0.0000 0.4582 0.2500 1
Be3 0.0000 0.5418 0.7500 1
Be4 0.0000 0.9613 0.7500 1
Be5 0.5000 0.0418 0.7500 1
Be6 0.5000 0.4613 0.7500 1
Be7 0.5000 0.5387 0.2500 1
Be8 0.5000 0.9582 0.2500 1
Sb1 0.0000 0.3512 0.7500 1
Sb2 0.0000 0.6488 0.2500 1
Sb3 0.5000 0.1488 0.2500 1
Sb4 0.5000 0.8512 0.7500 1
```

Top 10 peaks for 2θ from 5° to 70°, in order of rising 2θ:
- d = 4.599 Å, rel. 84.7
- d = 3.256 Å, rel. 43.9
- d = 3.105 Å, rel. 100.0
- d = 3.066 Å, rel. 32.9
- d = 2.911 Å, rel. 82.8
- d = 2.681 Å, rel. 23.6
- d = 2.317 Å, rel. 59.2
- d = 2.058 Å, rel. 31.4
- d = 1.972 Å, rel. 71.0
- d = 1.886 Å, rel. 22.6

***

Diffraction record for BaCeZn. The powder diffraction line list is simulated, not measured: it uses the PBE geometry in Alexandria and copper Kα.
No peak broadening, texture or thermal motion is included.

Structure:
```
data_BaCeZn
_chemical_formula_sum 'Ba4 Ce4 Zn4'
_cell_length_a 4.7377
_cell_length_b 22.9220
_cell_length_c 3.9949
_cell_angle_alpha 90.00
_cell_angle_beta 90.00
_cell_angle_gamma 90.00
_symmetry_space_group_name_H-M 'P 1'
_symmetry_Int_Tables_number 1
loop_
_symmetry_equiv_pos_as_xyz
'x,y,z'
loop_
_atom_site_label
_atom_site_fract_x
_atom_site_fract_y
_atom_site_fract_z
_atom_site_occupancy
Ba1 0.0000 0.1761 0.2500 1
Ba2 0.0000 0.8239 0.7500 1
Ba3 0.5000 0.3239 0.7500 1
Ba4 0.5000 0.6761 0.2500 1
Ce1 0.0000 0.4582 0.7500 1
Ce2 0.0000 0.5418 0.2500 1
Ce3 0.5000 0.0418 0.2500 1
Ce4 0.5000 0.9582 0.7500 1
Zn1 0.0000 0.0446 0.7500 1
Zn2 0.0000 0.9554 0.2500 1
Zn3 0.5000 0.4554 0.2500 1
Zn4 0.5000 0.5446 0.7500 1
```

Top 10 peaks for 2θ from 5° to 70°, in order of rising 2θ:
- d = 11.461 Å, rel. 99.8
- d = 4.026 Å, rel. 62.0
- d = 3.772 Å, rel. 30.6
- d = 2.865 Å, rel. 20.4
- d = 2.836 Å, rel. 47.9
- d = 2.542 Å, rel. 100.0
- d = 2.369 Å, rel. 27.5
- d = 1.956 Å, rel. 22.5
- d = 1.527 Å, rel. 23.1
- d = 1.347 Å, rel. 17.1

***

Diffraction record for LiAg4I5. The powder diffraction line list is simulated, not measured: it uses the PBE geometry in Alexandria and copper Kα.
No peak broadening, texture or thermal motion is included.

Structure:
```
data_LiAg4I5
_chemical_formula_sum 'Li2 Ag8 I10'
_cell_length_a 4.6625
_cell_length_b 4.6625
_cell_length_c 37.9430
_cell_angle_alpha 90.00
_cell_angle_beta 90.00
_cell_angle_gamma 120.00
_symmetry_space_group_name_H-M 'P 1'
_symmetry_Int_Tables_number 1
loop_
_symmetry_equiv_pos_as_xyz
'x,y,z'
loop_
_atom_site_label
_atom_site_fract_x
_atom_site_fract_y
_atom_site_fract_z
_atom_site_occupancy
Li1 0.0000 0.0000 0.0000 1
Li2 0.0000 0.0000 0.1964 1
Ag1 0.0000 0.0000 0.3945 1
Ag2 0.0000 0.0000 0.5970 1
Ag3 0.0000 0.0000 0.7994 1
Ag4 0.3333 0.6667 0.0965 1
Ag5 0.3333 0.6667 0.2929 1
Ag6 0.3333 0.6667 0.4958 1
Ag7 0.3333 0.6667 0.6982 1
Ag8 0.3333 0.6667 0.9006 1
I1 0.0000 0.0000 0.1226 1
I2 0.0000 0.0000 0.3190 1
I3 0.0000 0.0000 0.5215 1
I4 0.0000 0.0000 0.7238 1
I5 0.0000 0.0000 0.9262 1
I6 0.3333 0.6667 0.0210 1
I7 0.3333 0.6667 0.2175 1
I8 0.3333 0.6667 0.4203 1
I9 0.3333 0.6667 0.6226 1
I10 0.3333 0.6667 0.8250 1
```

Top 10 peaks for 2θ from 5° to 70°, in order of rising 2θ:
- d = 4.038 Å, rel. 100.0
- d = 3.794 Å, rel. 55.3
- d = 3.565 Å, rel. 72.6
- d = 2.765 Å, rel. 39.3
- d = 2.331 Å, rel. 89.8
- d = 2.144 Å, rel. 84.7
- d = 2.019 Å, rel. 15.5
- d = 1.986 Å, rel. 54.2
- d = 1.578 Å, rel. 31.2
- d = 1.421 Å, rel. 19.9

***

Diffraction record for In2Hg3. The powder diffraction line list is simulated, not measured: it uses the PBE geometry in Alexandria and copper Kα.
No peak broadening, texture or thermal motion is included.

Structure:
```
data_In2Hg3
_chemical_formula_sum 'In4 Hg6'
_cell_length_a 9.2242
_cell_length_b 9.2242
_cell_length_c 9.2242
_cell_angle_alpha 39.75
_cell_angle_beta 39.75
_cell_angle_gamma 39.75
_symmetry_space_group_name_H-M 'P 1'
_symmetry_Int_Tables_number 1
loop_
_symmetry_equiv_pos_as_xyz
'x,y,z'
loop_
_atom_site_label
_atom_site_fract_x
_atom_site_fract_y
_atom_site_fract_z
_atom_site_occupancy
In1 0.1816 0.1816 0.1816 1
In2 0.3184 0.3184 0.3184 1
In3 0.6816 0.6816 0.6816 1
In4 0.8184 0.8184 0.8184 1
Hg1 0.1679 0.7500 0.3321 1
Hg2 0.2500 0.6679 0.8321 1
Hg3 0.3321 0.1679 0.7500 1
Hg4 0.6679 0.8321 0.2500 1
Hg5 0.7500 0.3321 0.1679 1
Hg6 0.8321 0.2500 0.6679 1
```

Top 10 peaks for 2θ from 5° to 70°, in order of rising 2θ:
- d = 4.242 Å, rel. 47.7
- d = 4.131 Å, rel. 28.5
- d = 2.941 Å, rel. 100.0
- d = 2.745 Å, rel. 42.4
- d = 2.656 Å, rel. 87.4
- d = 2.522 Å, rel. 95.5
- d = 2.498 Å, rel. 32.7
- d = 2.121 Å, rel. 24.4
- d = 2.100 Å, rel. 39.5
- d = 1.504 Å, rel. 22.9